# LiVOsO6
Computed powder XRD pattern, Cu Ka. Input: a crystal structure in Alexandria, relaxed with PBE+U.
Peak positions follow from Bragg's law for the DFT cell and can differ from measured ones.

Peak list (10 most intense, 10 to 90 degrees two-theta, in order of rising 2θ)
hkl 0 0 2, 19.08°, 4.651 Å, I 100; hkl 1 0 0, 20.18°, 4.401 Å, I 67; hkl 1 0 1, 22.35°, 3.978 Å, I 87; hkl 1 0 2, 27.91°, 3.197 Å, I 60; hkl 1 1 0, 35.36°, 2.538 Å, I 67; hkl 1 1 2, 40.45°, 2.230 Å, I 79; hkl 2 0 1, 42.20°, 2.141 Å, I 18; hkl 1 1 4, 53.42°, 1.715 Å, I 59; hkl 3 0 0, 63.43°, 1.467 Å, I 29; hkl 3 0 2, 66.88°, 1.399 Å, I 18

Atomic structure:
Lattice parameters (Å, degrees): 5.0817 5.0817 9.3021 90.00 90.00 120.00
Element x y z (fractional)
Li 0.0000 0.0000 0.0000
Li 0.0000 0.0000 0.5000
V 0.3333 0.6667 0.2500
V 0.6667 0.3333 0.7500
Os 0.3333 0.6667 0.7500
Os 0.6667 0.3333 0.2500
O 0.0017 0.3691 0.1381
O 0.0017 0.6326 0.3619
O 0.3674 0.3691 0.3619
O 0.3674 0.9983 0.1381
O 0.3691 0.0017 0.6381
O 0.3691 0.3674 0.8619
O 0.6309 0.6326 0.1381
O 0.6309 0.9983 0.3619
O 0.6326 0.0017 0.8619
O 0.6326 0.6309 0.6381
O 0.9983 0.3674 0.6381
O 0.9983 0.6309 0.8619